# KNaW4O12
Calculated X-ray powder pattern, λ = 1.5418 Å (Cu Kα). Input: a structure optimized by DFT (PBE+U).

Main lines, low angle first (15 to 90 degrees two-theta):
| Position (°2θ) | intensity |
| --- | --- |
| 22.67 | 100 |
| 32.28 | 81 |
| 46.29 | 27 |
| 52.14 | 42 |
| 57.56 | 32 |
| 67.55 | 16 |
| 72.26 | 20 |
| 76.86 | 14 |

Structural model:
Unit cell a=5.5455 b=5.5455 c=7.8486 alpha=90.00 beta=90.00 gamma=90.00
Fractional coordinates of all 18 atoms:
K (0.0000, 0.0000, 0.0000)
Na (0.5000, 0.5000, 0.5000)
W (0.0000, 0.5000, 0.2510)
W (0.0000, 0.5000, 0.7490)
W (0.5000, 0.0000, 0.2510)
W (0.5000, 0.0000, 0.7490)
O (0.0000, 0.5000, 0.0000)
O (0.0000, 0.5000, 0.5000)
O (0.2521, 0.2521, 0.2523)
O (0.2521, 0.2521, 0.7477)
O (0.2521, 0.7479, 0.2523)
O (0.2521, 0.7479, 0.7477)
O (0.5000, 0.0000, 0.0000)
O (0.5000, 0.0000, 0.5000)
O (0.7479, 0.2521, 0.2523)
O (0.7479, 0.2521, 0.7477)
O (0.7479, 0.7479, 0.2523)
O (0.7479, 0.7479, 0.7477)

# LiMnSnO4
Calculated X-ray powder pattern, λ = 1.5418 Å (Cu Kα). Input: a structure optimized by DFT (PBE+U).

Main lines, low angle first (15 to 90 degrees two-theta):
| Position (°2θ) | intensity |
| --- | --- |
| 17.74 | 49 |
| 28.73 | 99 |
| 30.04 | 44 |
| 32.80 | 67 |
| 35.11 | 100 |
| 52.54 | 37 |
| 56.68 | 31 |
| 59.50 | 48 |

Structural model:
Unit cell a=5.9489 b=5.9489 c=9.2207 alpha=90.00 beta=90.00 gamma=90.00
Fractional coordinates of all 28 atoms:
Li (0.0000, 0.2331, 0.0000)
Li (0.0000, 0.7669, 0.5000)
Li (0.2331, 0.0000, 0.2500)
Li (0.7669, 0.0000, 0.7500)
Mn (0.2375, 0.5000, 0.2500)
Mn (0.5000, 0.2375, 0.0000)
Mn (0.5000, 0.7625, 0.5000)
Mn (0.7625, 0.5000, 0.7500)
Sn (0.2603, 0.2603, 0.6250)
Sn (0.2603, 0.7397, 0.8750)
Sn (0.7397, 0.2603, 0.3750)
Sn (0.7397, 0.7397, 0.1250)
O (0.0134, 0.2613, 0.2517)
O (0.0134, 0.7387, 0.2483)
O (0.2613, 0.0134, 0.9983)
O (0.2613, 0.9866, 0.5017)
O (0.2621, 0.4733, 0.0077)
O (0.2621, 0.5267, 0.4923)
O (0.4733, 0.2621, 0.2423)
O (0.4733, 0.7379, 0.2577)
O (0.5267, 0.2621, 0.7577)
O (0.5267, 0.7379, 0.7423)
O (0.7379, 0.4733, 0.9923)
O (0.7379, 0.5267, 0.5077)
O (0.7387, 0.0134, 0.0017)
O (0.7387, 0.9866, 0.4983)
O (0.9866, 0.2613, 0.7483)
O (0.9866, 0.7387, 0.7517)

# LiCr2O4
Calculated X-ray powder pattern, λ = 1.5418 Å (Cu Kα). Input: a structure optimized by DFT (PBE+U).

Main lines, low angle first (15 to 90 degrees two-theta):
| Position (°2θ) | intensity |
| --- | --- |
| 17.98 | 100 |
| 35.31 | 10 |
| 35.76 | 11 |
| 35.94 | 11 |
| 42.42 | 20 |
| 43.23 | 19 |
| 43.43 | 19 |
| 61.70 | 9 |

Structural model:
Unit cell a=2.9296 b=5.1448 c=5.2546 alpha=69.88 beta=89.99 gamma=89.70
Fractional coordinates of all 7 atoms:
Li (0.0000, 0.0000, 0.0000)
Cr (0.0000, 0.5000, 0.5000)
Cr (0.5000, 0.0000, 0.5000)
O (0.0037, 0.2267, 0.2967)
O (0.4979, 0.7546, 0.2880)
O (0.5021, 0.2454, 0.7120)
O (0.9963, 0.7733, 0.7033)

# CoPO4
Calculated X-ray powder pattern, λ = 1.5418 Å (Cu Kα). Input: a structure optimized by DFT (PBE+U).

Main lines, low angle first (15 to 90 degrees two-theta):
| Position (°2θ) | intensity |
| --- | --- |
| 19.99 | 13 |
| 21.28 | 100 |
| 21.55 | 78 |
| 26.71 | 38 |
| 27.25 | 27 |
| 34.01 | 19 |
| 35.79 | 17 |
| 36.89 | 15 |

Structural model:
Unit cell a=8.5794 b=5.2721 c=8.5659 alpha=90.00 beta=105.91 gamma=90.00
Fractional coordinates of all 24 atoms:
Co (0.0000, 0.1941, 0.0000)
Co (0.0000, 0.8059, 0.5000)
Co (0.4989, 0.3060, 0.6443)
Co (0.4989, 0.6940, 0.1443)
P (0.3683, 0.1905, 0.2706)
P (0.3683, 0.8095, 0.7706)
P (0.8707, 0.3066, 0.6225)
P (0.8707, 0.6934, 0.1225)
O (0.2009, 0.2049, 0.1469)
O (0.2009, 0.7951, 0.6469)
O (0.3516, 0.2712, 0.4386)
O (0.3516, 0.7288, 0.9386)
O (0.4380, 0.0826, 0.7856)
O (0.4380, 0.9174, 0.2856)
O (0.4876, 0.3659, 0.2134)
O (0.4876, 0.6341, 0.7134)
O (0.7033, 0.2132, 0.6332)
O (0.7033, 0.7868, 0.1332)
O (0.8568, 0.4149, 0.0627)
O (0.8568, 0.5851, 0.5627)
O (0.9300, 0.1409, 0.5008)
O (0.9300, 0.8591, 0.0008)
O (0.9969, 0.2874, 0.7914)
O (0.9969, 0.7126, 0.2914)

# Li5V3CrO8
Calculated X-ray powder pattern, λ = 1.5418 Å (Cu Kα). Input: a structure optimized by DFT (PBE+U).

Main lines, low angle first (15 to 90 degrees two-theta):
| Position (°2θ) | intensity |
| --- | --- |
| 17.88 | 63 |
| 19.23 | 100 |
| 19.35 | 50 |
| 34.85 | 52 |
| 44.14 | 54 |
| 44.29 | 52 |
| 44.51 | 52 |
| 61.60 | 53 |

Structural model:
Unit cell a=6.0225 b=6.0225 c=9.9233 alpha=90.16 beta=90.16 gamma=120.58
Fractional coordinates of all 34 atoms:
Li (0.0000, 0.0000, 0.0000)
Li (0.0000, 0.0000, 0.5000)
Li (0.1955, 0.3913, 0.5715)
Li (0.1965, 0.8059, 0.5716)
Li (0.3314, 0.6681, 0.7876)
Li (0.3913, 0.1955, 0.0715)
Li (0.6092, 0.8058, 0.5686)
Li (0.6681, 0.3314, 0.2876)
Li (0.8059, 0.1965, 0.0716)
Li (0.8058, 0.6092, 0.0686)
V (0.1686, 0.8284, 0.3001)
V (0.1736, 0.3429, 0.3021)
V (0.3429, 0.1736, 0.8021)
V (0.6605, 0.8265, 0.2998)
V (0.8265, 0.6605, 0.7998)
V (0.8284, 0.1686, 0.8001)
Cr (0.3329, 0.6686, 0.0403)
Cr (0.6686, 0.3329, 0.5403)
O (0.0233, 0.5186, 0.1729)
O (0.1590, 0.3331, 0.9242)
O (0.1588, 0.8293, 0.9240)
O (0.3331, 0.1590, 0.4242)
O (0.3406, 0.6824, 0.4198)
O (0.4908, 0.9795, 0.1726)
O (0.4958, 0.5179, 0.1707)
O (0.5179, 0.4958, 0.6707)
O (0.5186, 0.0233, 0.6729)
O (0.6649, 0.8334, 0.9240)
O (0.6824, 0.3406, 0.9198)
O (0.8293, 0.1588, 0.4240)
O (0.8334, 0.6649, 0.4240)
O (0.9795, 0.4908, 0.6726)
O (0.9917, 0.9971, 0.6901)
O (0.9971, 0.9917, 0.1901)

# Li9Mn2Co5O16
Calculated X-ray powder pattern, λ = 1.5418 Å (Cu Kα). Input: a structure optimized by DFT (PBE+U).

Main lines, low angle first (15 to 90 degrees two-theta):
| Position (°2θ) | intensity |
| --- | --- |
| 18.47 | 100 |
| 35.27 | 15 |
| 36.08 | 27 |
| 42.87 | 29 |
| 43.84 | 55 |
| 57.91 | 10 |
| 62.79 | 15 |
| 63.18 | 15 |

Structural model:
Unit cell a=5.1602 b=2.9036 c=19.3148 alpha=90.00 beta=95.79 gamma=90.00
Fractional coordinates of all 32 atoms:
Li (0.0000, 0.0000, 0.0000)
Li (0.0094, 0.5000, 0.4898)
Li (0.2508, 0.0000, 0.7424)
Li (0.2623, 0.5000, 0.2375)
Li (0.3829, 0.0000, 0.1171)
Li (0.4956, 0.5000, 0.9977)
Li (0.5085, 0.0000, 0.4881)
Li (0.7584, 0.5000, 0.7422)
Li (0.7681, 0.0000, 0.2360)
Mn (0.3834, 0.5000, 0.6161)
Mn (0.6297, 0.0000, 0.8679)
Co (0.1300, 0.5000, 0.8691)
Co (0.1350, 0.0000, 0.3649)
Co (0.6350, 0.5000, 0.3642)
Co (0.8837, 0.0000, 0.6165)
Co (0.8840, 0.5000, 0.1167)
O (0.0400, 0.5000, 0.6739)
O (0.0559, 0.0000, 0.1717)
O (0.1481, 0.5000, 0.0616)
O (0.2193, 0.0000, 0.5581)
O (0.3181, 0.5000, 0.4231)
O (0.3400, 0.0000, 0.9247)
O (0.4525, 0.0000, 0.3064)
O (0.4651, 0.5000, 0.8107)
O (0.5451, 0.0000, 0.6745)
O (0.6210, 0.5000, 0.1705)
O (0.7127, 0.0000, 0.0616)
O (0.7280, 0.5000, 0.5597)
O (0.7908, 0.5000, 0.9239)
O (0.8157, 0.0000, 0.4227)
O (0.9239, 0.0000, 0.8118)
O (0.9574, 0.5000, 0.3085)